Structure and simulated PXRD pattern of BaMg6VO8 (a structure optimized by DFT (GGA+U); CuKα).
Kinematic intensities with the Lorentz-polarization factor, no thermal factor.

Crystal structure
abc: 4.658 4.658 8.874
angles: 90.00 90.00 90.00
Element x y z (fractional)
Ba 0.000 0.000 0.000
Mg 0.000 0.000 0.500
Mg 0.000 0.500 0.268
Mg 0.000 0.500 0.732
Mg 0.500 0.000 0.268
Mg 0.500 0.000 0.732
Mg 0.500 0.500 0.500
V 0.500 0.500 0.000
O 0.000 0.000 0.283
O 0.000 0.000 0.717
O 0.000 0.500 0.000
O 0.000 0.500 0.500
O 0.500 0.000 0.000
O 0.500 0.000 0.500
O 0.500 0.500 0.258
O 0.500 0.500 0.742

Principal peaks in the range 10 to 90 degrees two-theta, most intense first:
38.66 deg, rel. 100.0, (2 0 0)
33.90 deg, rel. 54.5, (1 1 2)
57.36 deg, rel. 50.9, (2 0 4)
40.67 deg, rel. 39.0, (0 0 4)
28.92 deg, rel. 35.9, (1 1 1)
55.83 deg, rel. 30.5, (2 2 0)
71.33 deg, rel. 24.7, (2 2 4)
20.01 deg, rel. 23.3, (0 0 2)
21.55 deg, rel. 22.9, (1 0 1)
27.07 deg, rel. 20.4, (1 1 0)